[1]
Structure and simulated powder X-ray diffraction pattern of YBiRu2O7 (DFT lattice parameters and positions (GGA-PBE); Cu Kα (weighted mean of Kα1 and Kα2)).
Neutral-atom scattering factors, no anomalous dispersion.

Cell and atoms:
a = 7.301 Å, b = 7.301 Å, c = 7.301 Å
α = 120.29°, β = 119.75°, γ = 89.96°
Atoms (fractional coordinates):
1 Y 0.000 0.000 0.000
2 Y 0.500 0.000 0.500
3 Bi 0.500 0.000 0.000
4 Bi 0.500 0.500 0.500
5 Ru 0.000 0.000 0.500
6 Ru 0.000 0.500 0.000
7 Ru 0.000 0.500 0.500
8 Ru 0.500 0.500 0.000
9 O 0.082 0.421 0.252
10 O 0.082 0.830 0.661
11 O 0.082 0.832 0.250
12 O 0.330 0.580 0.750
13 O 0.331 0.170 0.752
14 O 0.331 0.579 0.161
15 O 0.366 0.116 0.250
16 O 0.634 0.884 0.750
17 O 0.669 0.421 0.839
18 O 0.669 0.830 0.248
19 O 0.670 0.420 0.250
20 O 0.918 0.168 0.750
21 O 0.918 0.170 0.339
22 O 0.918 0.579 0.748

Principal peaks in the range 2θ = 10–90°, sorted by position:
2θ (°)  d [Å]  intensity
14.83  5.975  16.8
29.90  2.988  99.3
30.07  2.972  100.0
34.76  2.581  65.3
49.77  1.832  15.8
49.97  1.825  62.0
50.21  1.817  15.2
59.27  1.559  43.6
59.54  1.553  28.1
83.80  1.154  19.3

---

[2]
Structure and simulated powder X-ray diffraction pattern of BaSrCeHfO6 (DFT lattice parameters and positions (GGA-PBE); Cu Kα (weighted mean of Kα1 and Kα2)).
Neutral-atom scattering factors, no anomalous dispersion.

Cell and atoms:
a = 8.574 Å, b = 8.582 Å, c = 8.582 Å
α = 90.00°, β = 90.00°, γ = 90.00°
Atoms (fractional coordinates):
1 Ba 0.000 0.000 0.000
2 Ba 0.000 0.000 0.500
3 Ba 0.500 0.000 0.000
4 Ba 0.500 0.500 0.500
5 Sr 0.000 0.500 0.000
6 Sr 0.000 0.500 0.500
7 Sr 0.500 0.000 0.500
8 Sr 0.500 0.500 0.000
9 Ce 0.250 0.253 0.750
10 Ce 0.250 0.747 0.250
11 Ce 0.750 0.253 0.250
12 Ce 0.750 0.747 0.750
13 Hf 0.250 0.253 0.251
14 Hf 0.250 0.747 0.749
15 Hf 0.750 0.253 0.749
16 Hf 0.750 0.747 0.251
17 O 0.009 0.227 0.276
18 O 0.009 0.773 0.724
19 O 0.216 0.491 0.290
20 O 0.216 0.509 0.710
21 O 0.217 0.284 0.010
22 O 0.217 0.716 0.990
23 O 0.273 0.010 0.224
24 O 0.273 0.990 0.776
25 O 0.288 0.219 0.490
26 O 0.288 0.781 0.510
27 O 0.490 0.289 0.215
28 O 0.490 0.711 0.785
29 O 0.510 0.289 0.785
30 O 0.510 0.711 0.215
31 O 0.712 0.219 0.510
32 O 0.712 0.781 0.490
33 O 0.727 0.010 0.776
34 O 0.727 0.990 0.224
35 O 0.783 0.284 0.990
36 O 0.783 0.716 0.010
37 O 0.784 0.491 0.710
38 O 0.784 0.509 0.290
39 O 0.991 0.227 0.724
40 O 0.991 0.773 0.276

Principal peaks in the range 2θ = 10–90°, sorted by position:
2θ (°)  d [Å]  intensity
17.91  4.953  1.9
20.71  4.290  7.4
29.45  3.033  100.0
42.13  2.145  27.9
47.39  1.918  3.2
52.24  1.751  43.8
61.10  1.517  17.0
69.27  1.356  18.2
77.01  1.238  5.5
84.51  1.146  22.4

---

[3]
Structure and simulated powder X-ray diffraction pattern of Zr3V3C (DFT lattice parameters and positions (GGA-PBE); Cu Kα (weighted mean of Kα1 and Kα2)).
Neutral-atom scattering factors, no anomalous dispersion.

Cell and atoms:
a = 8.664 Å, b = 8.664 Å, c = 8.664 Å
α = 60.00°, β = 60.00°, γ = 60.00°
Atoms (fractional coordinates):
1 Zr 0.066 0.066 0.684
2 Zr 0.066 0.684 0.066
3 Zr 0.066 0.684 0.684
4 Zr 0.316 0.316 0.934
5 Zr 0.316 0.934 0.316
6 Zr 0.316 0.934 0.934
7 Zr 0.684 0.066 0.066
8 Zr 0.684 0.066 0.684
9 Zr 0.684 0.684 0.066
10 Zr 0.934 0.316 0.316
11 Zr 0.934 0.316 0.934
12 Zr 0.934 0.934 0.316
13 V 0.000 0.500 0.500
14 V 0.299 0.299 0.299
15 V 0.299 0.299 0.603
16 V 0.299 0.603 0.299
17 V 0.397 0.701 0.701
18 V 0.500 0.000 0.500
19 V 0.500 0.500 0.000
20 V 0.500 0.500 0.500
21 V 0.603 0.299 0.299
22 V 0.701 0.397 0.701
23 V 0.701 0.701 0.397
24 V 0.701 0.701 0.701
25 C 0.000 0.000 0.000
26 C 0.000 0.000 0.500
27 C 0.000 0.500 0.000
28 C 0.500 0.000 0.000

Principal peaks in the range 2θ = 10–90°, sorted by position:
2θ (°)  d [Å]  intensity
29.15  3.063  10.1
31.84  2.811  22.7
35.91  2.501  46.7
38.17  2.358  100.0
41.70  2.166  25.1
53.40  1.716  11.1
62.00  1.497  11.4
64.54  1.444  43.7
66.03  1.415  9.2
77.52  1.231  16.7

---

[4]
Structure and simulated powder X-ray diffraction pattern of YThFe6 (DFT lattice parameters and positions (GGA-PBE); Cu Kα (weighted mean of Kα1 and Kα2)).
Neutral-atom scattering factors, no anomalous dispersion.

Cell and atoms:
a = 16.722 Å, b = 16.722 Å, c = 16.722 Å
α = 17.61°, β = 17.61°, γ = 17.61°
Atoms (fractional coordinates):
1 Y 0.000 0.000 0.000
2 Y 0.069 0.069 0.069
3 Y 0.570 0.570 0.570
4 Th 0.140 0.140 0.140
5 Th 0.500 0.500 0.500
6 Th 0.641 0.641 0.641
7 Fe 0.029 0.029 0.532
8 Fe 0.029 0.532 0.029
9 Fe 0.031 0.529 0.529
10 Fe 0.108 0.611 0.611
11 Fe 0.111 0.111 0.610
12 Fe 0.111 0.610 0.111
13 Fe 0.237 0.237 0.237
14 Fe 0.321 0.321 0.321
15 Fe 0.404 0.404 0.404
16 Fe 0.529 0.031 0.529
17 Fe 0.529 0.529 0.031
18 Fe 0.532 0.029 0.029
19 Fe 0.610 0.111 0.111
20 Fe 0.611 0.108 0.611
21 Fe 0.611 0.611 0.108
22 Fe 0.737 0.737 0.737
23 Fe 0.820 0.820 0.820
24 Fe 0.904 0.904 0.904

Principal peaks in the range 2θ = 10–90°, sorted by position:
2θ (°)  d [Å]  intensity
10.75  8.230  30.4
24.73  3.600  23.3
32.44  2.760  58.6
35.06  2.559  62.8
35.44  2.533  41.7
40.88  2.207  40.3
41.56  2.173  100.0
45.29  2.002  25.6
67.34  1.391  22.6
74.09  1.280  23.4

---

[5]
Structure and simulated powder X-ray diffraction pattern of NbSeI3 (DFT lattice parameters and positions (GGA-PBE); Cu Kα (weighted mean of Kα1 and Kα2)).
Neutral-atom scattering factors, no anomalous dispersion.

Cell and atoms:
a = 8.364 Å, b = 8.364 Å, c = 13.842 Å
α = 93.87°, β = 93.87°, γ = 127.33°
Atoms (fractional coordinates):
1 Nb 0.007 0.129 0.156
2 Nb 0.129 0.007 0.656
3 Nb 0.871 0.993 0.344
4 Nb 0.993 0.871 0.844
5 Se 0.036 0.668 0.705
6 Se 0.332 0.964 0.795
7 Se 0.668 0.036 0.205
8 Se 0.964 0.332 0.295
9 I 0.055 0.244 0.533
10 I 0.196 0.293 0.805
11 I 0.223 0.505 0.090
12 I 0.244 0.055 0.033
13 I 0.293 0.196 0.305
14 I 0.495 0.777 0.410
15 I 0.505 0.223 0.590
16 I 0.707 0.804 0.695
17 I 0.756 0.945 0.967
18 I 0.777 0.495 0.910
19 I 0.804 0.707 0.195
20 I 0.945 0.756 0.467

Principal peaks in the range 2θ = 10–90°, sorted by position:
2θ (°)  d [Å]  intensity
11.81  7.496  63.6
13.45  6.583  100.0
25.23  3.531  31.2
26.96  3.307  74.9
27.70  3.221  53.9
30.42  2.938  51.7
34.14  2.626  32.7
36.93  2.434  30.7
41.54  2.174  34.2
44.93  2.018  30.0

---

[6]
Structure and simulated powder X-ray diffraction pattern of ZrPbO3 (DFT lattice parameters and positions (GGA-PBE); Cu Kα (weighted mean of Kα1 and Kα2)).
Neutral-atom scattering factors, no anomalous dispersion.

Cell and atoms:
a = 5.979 Å, b = 11.946 Å, c = 8.317 Å
α = 90.00°, β = 90.00°, γ = 90.00°
Atoms (fractional coordinates):
1 Zr 0.242 0.124 0.250
2 Zr 0.242 0.124 0.750
3 Zr 0.258 0.624 0.250
4 Zr 0.258 0.624 0.750
5 Zr 0.742 0.376 0.250
6 Zr 0.742 0.376 0.750
7 Zr 0.758 0.876 0.250
8 Zr 0.758 0.876 0.750
9 Pb 0.196 0.376 0.000
10 Pb 0.208 0.372 0.500
11 Pb 0.292 0.872 0.500
12 Pb 0.304 0.876 0.000
13 Pb 0.696 0.124 0.000
14 Pb 0.708 0.128 0.500
15 Pb 0.792 0.628 0.500
16 Pb 0.804 0.624 0.000
17 O 0.000 0.000 0.232
18 O 0.000 0.000 0.768
19 O 0.000 0.500 0.201
20 O 0.000 0.500 0.799
21 O 0.036 0.262 0.281
22 O 0.036 0.262 0.719
23 O 0.197 0.594 0.500
24 O 0.224 0.657 0.000
25 O 0.276 0.157 0.000
26 O 0.303 0.094 0.500
27 O 0.464 0.762 0.281
28 O 0.464 0.762 0.719
29 O 0.500 0.000 0.201
30 O 0.500 0.000 0.799
31 O 0.500 0.500 0.232
32 O 0.500 0.500 0.768
33 O 0.536 0.238 0.281
34 O 0.536 0.238 0.719
35 O 0.697 0.906 0.500
36 O 0.724 0.843 0.000
37 O 0.776 0.343 0.000
38 O 0.803 0.406 0.500
39 O 0.964 0.738 0.281
40 O 0.964 0.738 0.719

Principal peaks in the range 2θ = 10–90°, sorted by position:
2θ (°)  d [Å]  intensity
21.02  4.226  10.9
29.91  2.988  46.5
30.15  2.964  100.0
37.05  2.426  14.6
42.80  2.113  23.3
43.53  2.079  13.9
53.25  1.720  34.3
53.71  1.707  20.1
62.69  1.482  15.8
71.65  1.317  8.9

---

[7]
Structure and simulated powder X-ray diffraction pattern of PrIn2Ni9 (DFT lattice parameters and positions (GGA-PBE); Cu Kα (weighted mean of Kα1 and Kα2)).
Neutral-atom scattering factors, no anomalous dispersion.

Cell and atoms:
a = 8.287 Å, b = 8.287 Å, c = 4.837 Å
α = 90.00°, β = 90.00°, γ = 90.00°
Atoms (fractional coordinates):
1 Pr 0.000 0.000 0.000
2 Pr 0.500 0.500 0.000
3 In 0.124 0.376 0.000
4 In 0.376 0.876 0.000
5 In 0.624 0.124 0.000
6 In 0.876 0.624 0.000
7 Ni 0.000 0.500 0.500
8 Ni 0.065 0.209 0.500
9 Ni 0.176 0.676 0.249
10 Ni 0.176 0.676 0.751
11 Ni 0.209 0.935 0.500
12 Ni 0.291 0.435 0.500
13 Ni 0.324 0.176 0.249
14 Ni 0.324 0.176 0.751
15 Ni 0.435 0.709 0.500
16 Ni 0.500 0.000 0.500
17 Ni 0.565 0.291 0.500
18 Ni 0.676 0.824 0.249
19 Ni 0.676 0.824 0.751
20 Ni 0.709 0.565 0.500
21 Ni 0.791 0.065 0.500
22 Ni 0.824 0.324 0.249
23 Ni 0.824 0.324 0.751
24 Ni 0.935 0.791 0.500

Principal peaks in the range 2θ = 10–90°, sorted by position:
2θ (°)  d [Å]  intensity
34.22  2.621  25.7
35.83  2.506  22.1
37.18  2.418  17.9
39.10  2.304  100.0
43.32  2.089  27.5
43.60  2.076  41.0
44.75  2.025  75.0
45.11  2.010  32.8
49.14  1.854  23.7
68.31  1.373  18.0

---

[8]
Structure and simulated powder X-ray diffraction pattern of MgSi2 (DFT lattice parameters and positions (GGA-PBE); Cu Kα (weighted mean of Kα1 and Kα2)).
Neutral-atom scattering factors, no anomalous dispersion.

Cell and atoms:
a = 11.899 Å, b = 11.899 Å, c = 5.326 Å
α = 102.80°, β = 102.80°, γ = 17.45°
Atoms (fractional coordinates):
1 Mg 0.000 0.000 0.000
2 Mg 0.384 0.384 0.653
3 Mg 0.561 0.561 0.560
4 Mg 0.743 0.743 0.259
5 Si 0.150 0.150 0.907
6 Si 0.151 0.151 0.410
7 Si 0.322 0.322 0.113
8 Si 0.427 0.427 0.200
9 Si 0.596 0.596 0.098
10 Si 0.701 0.701 0.704
11 Si 0.806 0.806 0.818
12 Si 0.965 0.965 0.476

Principal peaks in the range 2θ = 10–90°, sorted by position:
2θ (°)  d [Å]  intensity
31.54  2.837  72.3
32.05  2.792  22.7
37.06  2.426  36.0
37.23  2.415  41.4
38.25  2.353  31.0
39.24  2.296  29.6
42.36  2.134  100.0
43.75  2.069  29.3
43.87  2.064  18.8
50.56  1.805  41.7